# 1
Structure and computed XRD peak list of Li3Fe8B8O24 (a structure optimized by DFT (PBE+U); Cu Kα X-rays).

Top 10 peaks for 10 to 80 degrees two-theta, in order of rising 2θ:
| index | 2θ (°) | intensity |
| --- | --- | --- |
| 1 1 0 | 19.50 | 362 |
| 1 -1 0 | 19.69 | 627 |
| 0 2 -1 | 21.49 | 1000 |
| 1 1 2 | 26.07 | 587 |
| 0 2 -2 | 26.42 | 405 |
| 1 3 0 | 34.00 | 209 |
| 2 0 0 | 34.33 | 550 |
| 0 0 4 | 35.22 | 752 |
| 2 2 1 | 40.49 | 326 |
| 1 5 1 | 53.74 | 199 |

Structural model:
Cell: 5.2199 9.1148 10.1945 Å, 89.31 89.45 89.42°
Space group P1 (No. 1)
Symmetry-distinct sites (fractional):
Li1 0.0000 0.0000 0.0000 x1
Li2 0.0375 0.9967 0.5115 x1
Li3 0.1847 0.1529 0.2472 x1
Fe1 0.0166 0.6539 0.9739 x1
Fe2 0.0396 0.3353 0.4733 x1
Fe3 0.1711 0.8159 0.2210 x1
Fe4 0.1879 0.4899 0.7186 x1
Fe5 0.5035 0.1792 0.9630 x1
Fe6 0.5220 0.8222 0.4654 x1
Fe7 0.6653 0.9892 0.7257 x1
Fe8 0.6839 0.3287 0.2207 x1
B1 0.0008 0.3248 0.9718 x1
B2 0.0176 0.6664 0.4772 x1
B3 0.1800 0.8210 0.7193 x1
B4 0.1899 0.4864 0.2141 x1
B5 0.5172 0.8291 0.9706 x1
B6 0.5267 0.1489 0.4604 x1
B7 0.6755 0.0016 0.2212 x1
B8 0.6924 0.3273 0.7157 x1
O1 0.0184 0.9389 0.7020 x1
O2 0.0474 0.3648 0.2576 x1
O3 0.0648 0.6108 0.1660 x1
O4 0.0977 0.6907 0.7764 x1
O5 0.1069 0.4536 0.9187 x1
O6 0.1309 0.1948 0.9731 x1
O7 0.1512 0.5449 0.5226 x1
O8 0.1555 0.7920 0.4351 x1
O9 0.2535 0.8296 0.0020 x1
O10 0.2641 0.1495 0.4502 x1
O11 0.4327 0.8323 0.6735 x1
O12 0.4484 0.4821 0.2226 x1
O13 0.5373 0.4472 0.7149 x1
O14 0.5373 0.8860 0.2753 x1
O15 0.5387 0.1288 0.1837 x1
O16 0.5971 0.1916 0.7577 x1
O17 0.6282 0.9615 0.9236 x1
O18 0.6558 0.0230 0.5145 x1
O19 0.6691 0.7091 0.9822 x1
O20 0.6776 0.2622 0.4158 x1
O21 0.7554 0.3323 0.0250 x1
O22 0.7589 0.6709 0.4720 x1
O23 0.9379 0.9955 0.2037 x1
O24 0.9487 0.3339 0.6776 x1

***

# 2
Structure and computed XRD peak list of Mg14TiVO16 (a structure optimized by DFT (PBE+U); Cu Kα X-rays).

Top 10 peaks for 10 to 80 degrees two-theta, in order of rising 2θ:
| index | 2θ (°) | intensity |
| --- | --- | --- |
| 1 1 0 | 14.61 | 50 |
| 2 0 0 | 20.75 | 45 |
| 2 2 1 | 36.35 | 230 |
| 4 0 0 | 42.15 | 1000 |
| 0 0 2 | 42.34 | 494 |
| 4 4 0 | 61.14 | 281 |
| 4 0 2 | 61.28 | 559 |
| 6 2 1 | 73.25 | 91 |
| 2 2 3 | 73.51 | 45 |
| 4 4 2 | 77.18 | 253 |

Structural model:
Cell: 8.5746 8.5746 4.2696 Å, 90.00 90.00 90.00°
Space group P4/mmm (No. 123)
Symmetry-distinct sites (fractional):
Mg1 0.0000 0.2504 0.0000 x4
Mg2 0.0000 0.5000 0.5000 x2
Mg3 0.2472 0.5000 0.0000 x4
Mg4 0.2498 0.2498 0.5000 x4
Ti1 0.5000 0.5000 0.5000 x1
V1 0.0000 0.0000 0.5000 x1
O1 0.0000 0.0000 0.0000 x1
O2 0.0000 0.2540 0.5000 x4
O3 0.0000 0.5000 0.0000 x2
O4 0.2432 0.5000 0.5000 x4
O5 0.2501 0.2501 0.0000 x4
O6 0.5000 0.5000 0.0000 x1

***

# 3
Structure and computed XRD peak list of MnNi3O4 (a structure optimized by DFT (PBE+U); Cu Kα X-rays).

Top 9 peaks for 10 to 80 degrees two-theta, in order of rising 2θ:
| index | 2θ (°) | intensity |
| --- | --- | --- |
| 0 0 1 | 14.62 | 10 |
| 0 1 2 | 36.22 | 721 |
| 0 2 0 | 42.07 | 1000 |
| 2 0 0 | 60.98 | 483 |
| 0 0 4 | 61.17 | 95 |
| 2 1 2 | 73.01 | 185 |
| 1 1 4 | 73.18 | 93 |
| 2 2 0 | 76.79 | 90 |
| 0 2 4 | 76.98 | 88 |

Structural model:
Cell: 3.0397 4.3016 6.0605 Å, 90.00 90.00 90.00°
Space group Pmmm (No. 47)
Symmetry-distinct sites (fractional):
Mn1 0.0000 0.0000 0.0000 x1
Ni1 0.0000 0.0000 0.5000 x1
Ni2 0.5000 0.5000 0.2540 x2
O1 0.0000 0.5000 0.0000 x1
O2 0.0000 0.5000 0.5000 x1
O3 0.5000 0.0000 0.2629 x2